# 1
Simulated powder X-ray diffraction pattern of Li2Mg3Cu2 for Cu Kα (weighted mean of Kα1 and Kα2), from DFT lattice parameters and positions (GGA-PBE).

Peak list (10 most intense, 5 to 70 degrees two-theta, low angle first)
| Position (°2θ) | intensity |
| --- | --- |
| 9.60 | 56.0 |
| 19.26 | 42.6 |
| 20.91 | 85.7 |
| 29.06 | 32.6 |
| 33.76 | 39.8 |
| 36.82 | 62.1 |
| 38.14 | 53.8 |
| 39.98 | 100.0 |
| 41.36 | 47.7 |
| 41.88 | 58.5 |

Crystal structure
```
data_Li2Mg3Cu2
_cell_length_a 2.9442
_cell_length_b 4.3665
_cell_length_c 18.4354
_cell_angle_alpha 90.00
_cell_angle_beta 90.00
_cell_angle_gamma 90.00
_symmetry_space_group_name_H-M 'I m m m'
_symmetry_Int_Tables_number 71
_symmetry_space_group_name_Hall '-I 2 2'
loop_
_atom_site_label
_atom_site_type_symbol
_atom_site_fract_x
_atom_site_fract_y
_atom_site_fract_z
Li1 Li 0.0000 0.0000 0.0714
Mg1 Mg 0.0000 0.0000 0.5000
Mg2 Mg 0.0000 0.5000 0.2966
Cu1 Cu 0.0000 0.5000 0.1434
```

# 2
Simulated powder X-ray diffraction pattern of K6Hg2OF for Cu Kα (weighted mean of Kα1 and Kα2), from DFT lattice parameters and positions (GGA-PBE).

Peak list (10 most intense, 5 to 70 degrees two-theta, low angle first)
| Position (°2θ) | intensity |
| --- | --- |
| 17.40 | 63.4 |
| 20.71 | 81.4 |
| 22.81 | 82.9 |
| 26.80 | 31.1 |
| 27.54 | 49.2 |
| 28.83 | 91.1 |
| 31.00 | 100.0 |
| 36.05 | 31.5 |
| 46.60 | 42.0 |
| 54.98 | 40.8 |

Crystal structure
```
data_K6Hg2OF
_cell_length_a 7.7966
_cell_length_b 7.7966
_cell_length_c 38.8725
_cell_angle_alpha 90.00
_cell_angle_beta 90.00
_cell_angle_gamma 120.00
_symmetry_space_group_name_H-M 'R -3 m'
_symmetry_Int_Tables_number 166
_symmetry_space_group_name_Hall '-R 3 2"'
loop_
_atom_site_label
_atom_site_type_symbol
_atom_site_fract_x
_atom_site_fract_y
_atom_site_fract_z
K1 K 0.0114 0.5057 0.2059
K2 K 0.0336 0.5168 0.6251
Hg1 Hg 0.0000 0.0000 0.2122
Hg2 Hg 0.0000 0.0000 0.3717
O1 O 0.0000 0.0000 0.0000
O2 O 0.0000 0.0000 0.5000
F1 F 0.0000 0.0000 0.0904
```

# 3
Simulated powder X-ray diffraction pattern of MgGa6Pd for Cu Kα (weighted mean of Kα1 and Kα2), from DFT lattice parameters and positions (GGA-PBE).

Peak list (10 most intense, 5 to 70 degrees two-theta, low angle first)
| Position (°2θ) | intensity |
| --- | --- |
| 16.63 | 24.5 |
| 21.05 | 42.5 |
| 33.65 | 94.7 |
| 35.95 | 56.8 |
| 36.63 | 100.0 |
| 39.59 | 38.3 |
| 41.27 | 71.9 |
| 42.74 | 28.5 |
| 44.63 | 85.5 |
| 55.04 | 27.2 |

Crystal structure
```
data_MgGa6Pd
_cell_length_a 6.2670
_cell_length_b 8.7497
_cell_length_c 5.6377
_cell_angle_alpha 90.00
_cell_angle_beta 108.98
_cell_angle_gamma 90.00
_symmetry_space_group_name_H-M 'C 1 2/m 1'
_symmetry_Int_Tables_number 12
loop_
_symmetry_equiv_pos_as_xyz
'x,y,z'
'-x,-y,-z'
'-x,y,-z'
'x,-y,z'
'x+1/2,y+1/2,z'
'-x+1/2,-y+1/2,-z'
'-x+1/2,y+1/2,-z'
'x+1/2,-y+1/2,z'
loop_
_atom_site_label
_atom_site_type_symbol
_atom_site_fract_x
_atom_site_fract_y
_atom_site_fract_z
Mg1 Mg 0.0000 0.0000 0.0000
Ga1 Ga 0.0655 0.5000 0.2557
Ga2 Ga 0.1740 0.2543 0.7404
Pd1 Pd 0.0000 0.0000 0.5000
```

# 4
Simulated powder X-ray diffraction pattern of Tb3Dy3Er for Cu Kα (weighted mean of Kα1 and Kα2), from DFT lattice parameters and positions (GGA-PBE).

Peak list (10 most intense, 5 to 70 degrees two-theta, low angle first)
| Position (°2θ) | intensity |
| --- | --- |
| 28.63 | 23.8 |
| 31.70 | 24.3 |
| 32.81 | 100.0 |
| 43.23 | 15.6 |
| 50.71 | 19.7 |
| 57.18 | 20.6 |
| 59.27 | 3.1 |
| 61.05 | 22.6 |
| 61.72 | 16.4 |
| 68.79 | 4.0 |

Crystal structure
```
data_Tb3Dy3Er
_cell_length_a 9.5268
_cell_length_b 9.5268
_cell_length_c 5.6448
_cell_angle_alpha 90.00
_cell_angle_beta 90.00
_cell_angle_gamma 120.00
_symmetry_space_group_name_H-M 'P 63/m'
_symmetry_Int_Tables_number 176
_symmetry_space_group_name_Hall '-P 6c'
loop_
_atom_site_label
_atom_site_type_symbol
_atom_site_fract_x
_atom_site_fract_y
_atom_site_fract_z
Tb1 Tb 0.0477 0.2392 0.2500
Dy1 Dy 0.0951 0.4763 0.7500
Er1 Er 0.3333 0.6667 0.2500
```

# 5
Simulated powder X-ray diffraction pattern of KOsCF2 for Cu Kα (weighted mean of Kα1 and Kα2), from DFT lattice parameters and positions (GGA-PBE).

Peak list (10 most intense, 5 to 70 degrees two-theta, low angle first)
| Position (°2θ) | intensity |
| --- | --- |
| 20.06 | 73.9 |
| 23.07 | 32.8 |
| 28.52 | 51.0 |
| 30.76 | 100.0 |
| 40.77 | 37.6 |
| 45.84 | 17.8 |
| 47.36 | 20.2 |
| 51.92 | 46.5 |
| 56.03 | 15.7 |
| 64.06 | 18.4 |

Crystal structure
```
data_KOsCF2
_cell_length_a 4.4264
_cell_length_b 4.4264
_cell_length_c 3.8552
_cell_angle_alpha 90.00
_cell_angle_beta 90.00
_cell_angle_gamma 90.00
_symmetry_space_group_name_H-M 'P 4/m m m'
_symmetry_Int_Tables_number 123
_symmetry_space_group_name_Hall '-P 4 2'
loop_
_atom_site_label
_atom_site_type_symbol
_atom_site_fract_x
_atom_site_fract_y
_atom_site_fract_z
K1 K 0.0000 0.0000 0.0000
Os1 Os 0.5000 0.5000 0.5000
C1 C 0.5000 0.5000 0.0000
F1 F 0.0000 0.5000 0.5000
```

# 6
Simulated powder X-ray diffraction pattern of PrYIn for Cu Kα (weighted mean of Kα1 and Kα2), from DFT lattice parameters and positions (GGA-PBE).

Peak list (10 most intense, 5 to 70 degrees two-theta, low angle first)
| Position (°2θ) | intensity |
| --- | --- |
| 12.64 | 4.5 |
| 25.39 | 6.1 |
| 31.22 | 100.0 |
| 34.98 | 38.5 |
| 38.56 | 12.3 |
| 50.31 | 13.5 |
| 52.21 | 3.8 |
| 53.04 | 19.2 |
| 60.41 | 29.4 |
| 65.17 | 18.3 |

Crystal structure
```
data_PrYIn
_cell_length_a 3.6272
_cell_length_b 3.6272
_cell_length_c 14.0082
_cell_angle_alpha 90.00
_cell_angle_beta 90.00
_cell_angle_gamma 90.00
_symmetry_space_group_name_H-M 'I 4 m m'
_symmetry_Int_Tables_number 107
_symmetry_space_group_name_Hall 'I 4 -2'
loop_
_atom_site_label
_atom_site_type_symbol
_atom_site_fract_x
_atom_site_fract_y
_atom_site_fract_z
Pr1 Pr 0.0000 0.0000 0.0000
Y1 Y 0.0000 0.0000 0.6942
In1 In 0.0000 0.0000 0.3394
```